# 1
Structure and simulated powder XRD pattern of TbCeGe2Au2 (the GGA-PBE geometry in Alexandria; Cu Ka).
Lines closer than 0.1° are merged.

Top 12 peaks for 5° ≤ 2θ ≤ 70°, in order of rising 2θ:
| 2θ (°) | I_rel |
| --- | --- |
| 22.85 | 6 |
| 25.79 | 24 |
| 32.70 | 100 |
| 40.52 | 60 |
| 41.97 | 6 |
| 46.68 | 11 |
| 47.03 | 6 |
| 48.66 | 5 |
| 52.69 | 5 |
| 53.01 | 26 |
| 63.50 | 26 |
| 68.79 | 23 |

Structural model:
a b c (Å): 4.4522 4.4522 7.7829
angles (deg): 90.00 90.00 120.00
Space group P-3m1 (No. 164)
One atom of each set of equivalent atoms:
Tb1 0.0000 0.0000 0.0000 [1 per cell]
Ce1 0.0000 0.0000 0.5000 [1 per cell]
Ge1 0.3333 0.6667 0.7339 [2 per cell]
Au1 0.3333 0.6667 0.2251 [2 per cell]


# 2
Structure and simulated powder XRD pattern of Ce6HAu3 (the GGA-PBE geometry in Alexandria; Cu Ka).
Lines closer than 0.1° are merged.

Top 12 peaks for 5° ≤ 2θ ≤ 70°, in order of rising 2θ:
| 2θ (°) | I_rel |
| --- | --- |
| 22.75 | 9 |
| 32.89 | 17 |
| 33.53 | 100 |
| 34.67 | 11 |
| 40.54 | 17 |
| 42.70 | 14 |
| 49.08 | 8 |
| 53.16 | 9 |
| 54.38 | 6 |
| 54.93 | 8 |
| 60.34 | 12 |
| 69.30 | 12 |

Structural model:
a b c (Å): 12.705 16.340 4.450
angles (deg): 90.00 90.00 90.00
Space group Cmcm (No. 63)
One atom of each set of equivalent atoms:
Ce1 0.000 0.056 0.250 [4 per cell]
Ce2 0.000 0.239 0.750 [4 per cell]
Ce3 0.164 0.444 0.750 [8 per cell]
Ce4 0.179 0.262 0.250 [8 per cell]
H1 0.000 0.200 0.250 [4 per cell]
Au1 0.000 0.394 0.250 [4 per cell]
Au2 0.165 0.099 0.750 [8 per cell]